(1)
# NaDyMoO5
Simulated powder X-ray diffraction pattern, CuKα. Input: the GGA+U geometry in Alexandria.

```
NaDyMoO5
1.0
3.652 -4.983 0.000
3.652 4.983 0.000
-3.022 0.000 7.400
Na Dy Mo O
2 2 2 10
Cartesian
1.385 3.018 5.550
2.896 -3.018 1.850
3.652 0.000 0.000
2.140 0.000 3.700
2.896 3.162 1.850
1.385 -3.162 5.550
-1.498 0.770 6.786
1.691 2.092 2.662
0.013 -0.770 3.085
4.101 2.092 1.038
1.385 0.804 5.550
2.896 -0.804 1.850
0.180 -2.092 6.362
4.268 0.770 4.315
2.590 -2.092 4.738
5.779 -0.770 0.615
```

The 10 most intense peaks (2θ = 10–90°), in order of rising 2θ:
two_theta  I_rel
15.84  83
16.61  34
24.34  100
26.36  71
29.97  84
30.08  80
33.58  34
39.20  28
46.41  43
48.83  28

---

(2)
# NdDy2MoO8
Simulated powder X-ray diffraction pattern, CuKα. Input: the GGA+U geometry in Alexandria.

```
NdDy2MoO8
1.0
5.066 0.000 0.000
0.000 6.951 0.000
-0.035 0.000 5.066
Nd Dy Mo O
1 2 1 8
Cartesian
0.000 0.000 0.000
2.515 1.788 2.533
2.515 5.163 2.533
0.000 3.475 0.000
0.904 2.048 4.128
0.904 4.903 4.128
1.387 3.475 1.391
1.600 0.000 1.603
3.431 0.000 3.463
3.644 3.475 3.675
4.127 2.048 0.937
4.127 4.903 0.937
```

The 10 most intense peaks (2θ = 10–90°), in order of rising 2θ:
two_theta  I_rel
24.77  58
24.94  55
31.21  100
35.44  28
47.84  40
48.03  38
57.67  10
59.08  19
61.01  22
65.10  11

---

(3)
# Dy2Mo4O15
Simulated powder X-ray diffraction pattern, CuKα. Input: the GGA+U geometry in Alexandria.

```
Dy2Mo4O15
1.0
6.918 0.000 0.000
0.000 9.722 0.000
-2.789 0.000 10.433
Dy Mo O
4 8 30
Cartesian
0.663 0.227 2.870
-0.731 4.634 8.087
4.860 5.088 2.346
3.466 9.495 7.562
0.529 7.228 0.101
-0.865 7.355 5.317
0.302 0.916 8.801
1.696 3.945 3.585
2.433 5.777 6.848
3.828 8.806 1.632
4.995 2.367 5.116
3.600 2.494 10.332
-0.920 1.237 4.173
-2.314 3.624 9.390
0.519 1.595 1.042
-0.876 3.266 6.258
-1.397 0.502 8.496
-0.002 4.359 3.280
-1.047 6.329 9.571
0.347 8.254 4.355
-0.042 6.185 6.440
1.352 8.398 1.223
1.692 2.172 3.633
0.298 2.689 8.849
1.176 0.261 7.399
2.571 4.600 2.182
3.459 0.000 0.000
2.065 4.861 5.216
1.559 5.122 8.251
2.953 9.461 3.034
3.831 7.033 1.584
2.437 7.550 6.800
2.777 1.324 9.209
4.171 3.537 3.993
3.782 1.468 6.078
5.177 3.393 0.862
4.132 5.363 7.153
5.526 9.220 1.937
5.005 6.456 4.174
3.611 8.127 9.391
6.444 6.098 1.043
5.049 8.485 6.260
```

The 10 most intense peaks (2θ = 10–90°), in order of rising 2θ:
two_theta  I_rel
19.77  58
20.81  36
24.20  28
25.04  100
26.23  45
27.42  31
27.74  32
30.66  23
32.52  24
33.49  33

---

(4)
# Dy2Mo3O12
Simulated powder X-ray diffraction pattern, CuKα. Input: the GGA+U geometry in Alexandria.

```
Dy2Mo3O12
1.0
3.845 -5.762 0.000
3.845 5.762 0.000
-3.809 0.000 10.743
Dy Mo O
4 6 24
Cartesian
0.933 1.407 0.977
-0.971 -1.407 6.349
4.852 1.407 4.394
2.948 -1.407 9.766
2.893 4.258 2.686
1.011 1.241 4.822
-0.893 -1.241 10.193
4.774 1.241 0.550
2.870 -1.241 5.922
0.988 -4.258 8.058
2.431 3.363 1.152
-0.737 0.577 4.952
0.968 2.042 3.205
-1.451 0.474 7.719
-2.642 -0.577 10.323
0.454 -0.474 2.347
1.322 2.508 6.004
0.654 2.508 10.111
3.355 3.363 4.219
3.056 0.451 0.814
-0.936 -2.042 8.576
1.152 -0.451 6.186
2.730 0.451 4.558
4.817 2.042 2.167
0.825 -0.451 9.929
0.526 -3.363 6.524
3.227 -2.508 0.633
2.559 -2.508 4.739
3.427 0.474 8.396
6.523 0.577 0.420
5.332 -0.474 3.025
2.913 -2.042 7.539
4.618 -0.577 5.792
1.451 -3.363 9.591
```

The 10 most intense peaks (2θ = 10–90°), in order of rising 2θ:
two_theta  I_rel
14.45  26
16.50  22
17.47  16
24.96  31
27.90  100
29.37  76
31.04  27
46.82  24
46.91  24
47.28  16

---

(5)
# DyMo2O8
Simulated powder X-ray diffraction pattern, CuKα. Input: the GGA+U geometry in Alexandria.

```
DyMo2O8
1.0
5.584 0.000 0.000
-0.042 5.751 0.000
-1.958 -1.972 5.066
Dy Mo O
1 2 8
Cartesian
0.000 0.000 0.000
0.797 2.643 2.459
3.174 0.569 2.139
0.595 3.967 1.289
-0.292 3.037 3.804
1.693 1.393 0.926
1.256 0.596 2.806
2.437 2.931 3.213
3.498 5.012 1.018
3.616 -0.103 3.731
4.640 1.580 1.592
```

The 10 most intense peaks (2θ = 10–90°), in order of rising 2θ:
two_theta  I_rel
19.26  100
19.52  44
25.45  77
28.24  59
28.45  34
28.71  29
31.61  24
32.15  26
32.49  32
35.48  34

---

(6)
# PrDyMo2O8
Simulated powder X-ray diffraction pattern, CuKα. Input: the GGA+U geometry in Alexandria.

```
PrDyMo2O8
1.0
-2.665 2.665 5.664
2.665 -2.665 5.664
2.665 2.665 -5.664
Pr Dy Mo O
1 1 2 8
Cartesian
0.000 0.000 0.000
2.665 0.000 2.832
0.000 0.000 5.664
0.000 2.665 2.832
1.269 0.995 -1.833
1.242 -0.887 4.674
1.778 1.423 0.990
1.671 -1.396 7.496
1.423 3.552 -0.990
1.396 1.671 3.831
0.887 1.242 6.653
0.995 4.061 1.833
```

The 10 most intense peaks (2θ = 10–90°), in order of rising 2θ:
two_theta  I_rel
28.44  100
31.59  13
33.63  20
46.81  31
48.29  15
54.35  16
57.00  28
58.86  11
75.63  12
89.13  9

---

(7)
# RbDyMo2O8
Simulated powder X-ray diffraction pattern, CuKα. Input: the GGA+U geometry in Alexandria.

```
RbDyMo2O8
1.0
5.426 -5.241 0.000
5.426 5.241 0.000
-5.115 0.000 5.887
Rb Dy Mo O
2 2 4 16
Cartesian
1.590 3.202 4.415
4.148 -3.202 1.472
4.148 2.848 1.472
1.590 -2.848 4.415
-0.592 0.011 4.501
1.966 -0.011 1.557
3.772 0.011 4.330
6.330 -0.011 1.386
-2.152 0.849 4.121
1.794 1.629 0.718
0.405 -0.849 1.177
0.486 0.812 3.333
5.012 1.139 0.203
-0.763 -1.629 3.662
3.043 -0.812 0.389
3.283 1.139 2.740
2.455 -1.139 3.146
2.695 0.812 5.498
6.501 1.629 2.225
0.726 -1.139 5.684
5.252 -0.812 2.554
5.333 0.849 4.710
3.944 -1.629 5.169
7.890 -0.849 1.766
```

The 10 most intense peaks (2θ = 10–90°), in order of rising 2θ:
two_theta  I_rel
14.19  23
27.62  100
27.76  22
28.60  78
30.37  38
33.06  13
46.39  19
49.77  15
53.43  17
55.24  13

---

(8)
# Rb3DyMo2O8
Simulated powder X-ray diffraction pattern, CuKα. Input: the GGA+U geometry in Alexandria.

```
Rb3DyMo2O8
1.0
6.218 0.000 0.000
-3.109 5.385 0.000
0.000 0.000 8.043
Rb Dy Mo O
3 1 2 8
Cartesian
0.000 0.000 0.000
0.000 3.590 5.465
3.109 1.795 2.577
0.000 0.000 4.021
0.000 3.590 1.947
3.109 1.795 6.095
0.000 1.844 2.683
-1.512 4.463 2.683
0.000 3.590 0.148
1.597 0.922 5.360
1.512 4.463 2.683
3.109 1.795 7.894
4.621 0.922 5.360
3.109 3.541 5.360
```

The 10 most intense peaks (2θ = 10–90°), in order of rising 2θ:
two_theta  I_rel
11.00  19
19.84  12
27.69  88
28.71  100
40.31  44
50.24  34
50.87  20
54.34  17
59.46  17
66.82  15